(1)
Diffraction record for MgCo2Ag2O6. The XRD peak list is calculated, not measured: it uses a crystal structure in the Materials Project, relaxed with GGA+U and λ = 1.5418 Å (Cu Kα).

Most intense lines, 2θ from 10° to 90°, in order of rising 2θ:
2θ (°)  I_rel
22.81  51
29.06  35
31.00  35
35.62  78
38.99  17
47.93  100
64.02  16
76.02  21

Cell and atoms:
```
MgCo2Ag2O6
1.0
5.0350 0.0000 0.0000
2.5155 4.3715 0.0000
2.5152 1.4608 5.7690
Mg Co Ag O
1 2 2 6
Cartesian
0.0000 0.0000 0.0000
5.0315 2.9156 5.7059
5.0342 2.9167 0.0631
2.5161 1.4614 2.9116
7.5496 4.3708 2.8575
4.1156 4.2968 4.7540
3.3881 2.8146 1.0129
4.3020 1.4380 4.7511
5.7637 4.3942 1.0180
6.6776 3.0176 4.7562
5.9500 1.5354 1.0150
```

***

(2)
Diffraction record for MgCoAgO2. The XRD peak list is calculated, not measured: it uses a crystal structure in the Materials Project, relaxed with GGA+U and λ = 1.5418 Å (Cu Kα).

Most intense lines, 2θ from 10° to 90°, in order of rising 2θ:
2θ (°)  I_rel
10.93  49
21.96  34
31.57  34
33.20  61
34.91  100
35.15  38
35.71  32
42.16  58

Cell and atoms:
```
MgCoAgO2
1.0
5.7394 0.0000 0.0000
0.0000 2.9904 0.0000
-1.2860 0.0000 8.0951
Mg Co Ag O
2 2 2 4
Cartesian
0.0000 0.0000 0.0000
2.8697 1.4952 0.0000
0.6485 1.4952 5.5167
3.5183 0.0000 5.5167
1.9408 0.0000 2.5123
4.8105 1.4952 2.5123
0.5267 0.0000 7.3346
1.7080 0.0000 4.7982
3.3964 1.4952 7.3346
4.5777 1.4952 4.7982
```

***

(3)
Diffraction record for MgCo2Ag2O6. The XRD peak list is calculated, not measured: it uses a crystal structure in the Materials Project, relaxed with GGA+U and λ = 1.5418 Å (Cu Kα).

Most intense lines, 2θ from 10° to 90°, in order of rising 2θ:
2θ (°)  I_rel
30.37  67
33.87  100
35.18  38
46.13  23
49.58  55
58.44  19
60.60  27
61.45  16

Cell and atoms:
```
MgCo2Ag2O6
1.0
2.6467 1.5281 5.1176
-2.6467 1.5281 5.1176
0.0000 -3.0561 5.1176
Mg Co Ag O
1 2 2 6
Cartesian
0.0000 0.0000 0.0000
0.0000 0.0000 2.6729
0.0000 0.0000 12.6800
0.0000 0.0000 5.6505
0.0000 0.0000 9.7024
-1.0123 -1.8590 6.5218
-2.1161 -0.0528 8.8311
-1.1038 1.8062 6.5218
1.1038 -1.8062 8.8311
2.1161 0.0528 6.5218
1.0124 1.8590 8.8311
```

***

(4)
Diffraction record for MgCoAgO2. The XRD peak list is calculated, not measured: it uses a crystal structure in the Materials Project, relaxed with GGA+U and λ = 1.5418 Å (Cu Kα).

Most intense lines, 2θ from 10° to 90°, in order of rising 2θ:
2θ (°)  I_rel
11.06  29
32.96  24
33.60  100
36.09  50
37.85  37
44.84  26
58.44  28
69.12  31

Cell and atoms:
```
MgCoAgO2
1.0
3.1586 0.0000 0.0000
-1.5793 2.7354 0.0000
0.0000 0.0000 24.0037
Mg Co Ag O
3 3 3 6
Cartesian
0.0000 0.0000 0.0000
0.0000 1.8236 16.0025
1.5793 0.9118 8.0012
0.0000 0.0000 18.4981
0.0000 1.8236 10.4969
1.5793 0.9118 2.4956
0.0000 0.0000 5.4789
0.0000 1.8236 21.4813
1.5793 0.9118 13.4801
0.0000 0.0000 3.1975
0.0000 0.0000 8.7276
0.0000 1.8236 0.7264
0.0000 1.8236 19.2000
1.5793 0.9118 11.1987
1.5793 0.9118 16.7289
```